(1)
The following is a theoretical powder XRD pattern of DyLuHg2. It was derived from a DFT-relaxed cell (PBE, the Materials Project), using λ = 1.5418 Å (Cu Kα).

The 6 most intense peaks (2θ = 10–90°), by angle:
- (2 0 0), 2θ = 24.09°, rel. 9
- (2 2 0), 2θ = 34.34°, rel. 1000
- (4 0 0), 2θ = 49.35°, rel. 182
- (4 2 2), 2θ = 61.49°, rel. 379
- (4 4 0), 2θ = 72.36°, rel. 118
- (6 2 0), 2θ = 82.60°, rel. 169

Structural model:
```
data_DyLuHg2
_space_group_name_H-M_alt 'F m -3 m'
_space_group_IT_number 225
_space_group_name_Hall '-F 4 2 3'
_cell_length_a 7.3872
_cell_length_b 7.3872
_cell_length_c 7.3872
_cell_angle_alpha 90.00
_cell_angle_beta 90.00
_cell_angle_gamma 90.00
loop_
_atom_site_label
_atom_site_fract_x
_atom_site_fract_y
_atom_site_fract_z
Dy1 0.0000 0.0000 0.0000
Lu1 0.0000 0.0000 0.5000
Hg1 0.2500 0.2500 0.2500
```

(2)
The following is a theoretical powder XRD pattern of DyMgHg2. It was derived from a DFT-relaxed cell (PBE, the Materials Project), using λ = 1.5418 Å (Cu Kα).

The 10 most intense peaks (2θ = 10–90°), by angle:
- (1 1 1), 2θ = 21.41°, rel. 122
- (2 0 0), 2θ = 24.77°, rel. 161
- (2 2 0), 2θ = 35.31°, rel. 1000
- (3 1 1), 2θ = 41.67°, rel. 66
- (2 2 2), 2θ = 43.61°, rel. 51
- (4 0 0), 2θ = 50.80°, rel. 180
- (4 2 0), 2θ = 57.32°, rel. 70
- (4 2 2), 2θ = 63.39°, rel. 372
- (4 4 0), 2θ = 74.69°, rel. 117
- (6 2 0), 2θ = 85.41°, rel. 169

Structural model:
```
data_DyMgHg2
_space_group_name_H-M_alt 'F m -3 m'
_space_group_IT_number 225
_space_group_name_Hall '-F 4 2 3'
_cell_length_a 7.1888
_cell_length_b 7.1888
_cell_length_c 7.1888
_cell_angle_alpha 90.00
_cell_angle_beta 90.00
_cell_angle_gamma 90.00
loop_
_atom_site_label
_atom_site_fract_x
_atom_site_fract_y
_atom_site_fract_z
Dy1 0.0000 0.0000 0.0000
Mg1 0.0000 0.0000 0.5000
Hg1 0.2500 0.2500 0.2500
```

(3)
The following is a theoretical powder XRD pattern of SmDyHg2. It was derived from a DFT-relaxed cell (PBE, the Materials Project), using λ = 1.5418 Å (Cu Kα).

The 8 most intense peaks (2θ = 10–90°), by angle:
- (2 0 0), 2θ = 23.61°, rel. 18
- (2 2 0), 2θ = 33.63°, rel. 1000
- (2 2 2), 2θ = 41.50°, rel. 7
- (4 0 0), 2θ = 48.30°, rel. 183
- (4 2 0), 2θ = 54.44°, rel. 9
- (4 2 2), 2θ = 60.14°, rel. 383
- (4 4 0), 2θ = 70.71°, rel. 119
- (6 2 0), 2θ = 80.62°, rel. 169

Structural model:
```
data_SmDyHg2
_space_group_name_H-M_alt 'F m -3 m'
_space_group_IT_number 225
_space_group_name_Hall '-F 4 2 3'
_cell_length_a 7.5369
_cell_length_b 7.5369
_cell_length_c 7.5369
_cell_angle_alpha 90.00
_cell_angle_beta 90.00
_cell_angle_gamma 90.00
loop_
_atom_site_label
_atom_site_fract_x
_atom_site_fract_y
_atom_site_fract_z
Sm1 0.0000 0.0000 0.0000
Dy1 0.0000 0.0000 0.5000
Hg1 0.2500 0.2500 0.2500
```

(4)
The following is a theoretical powder XRD pattern of DyYHg2. It was derived from a DFT-relaxed cell (PBE, the Materials Project), using λ = 1.5418 Å (Cu Kα).

The 10 most intense peaks (2θ = 10–90°), by angle:
- (1 1 1), 2θ = 20.60°, rel. 25
- (2 0 0), 2θ = 23.84°, rel. 61
- (2 2 0), 2θ = 33.96°, rel. 1000
- (2 2 2), 2θ = 41.92°, rel. 21
- (4 0 0), 2θ = 48.79°, rel. 182
- (4 2 0), 2θ = 55.00°, rel. 29
- (4 2 2), 2θ = 60.77°, rel. 378
- (4 4 0), 2θ = 71.48°, rel. 118
- (6 0 0), 2θ = 76.56°, rel. 15
- (6 2 0), 2θ = 81.54°, rel. 167

Structural model:
```
data_DyYHg2
_space_group_name_H-M_alt 'F m -3 m'
_space_group_IT_number 225
_space_group_name_Hall '-F 4 2 3'
_cell_length_a 7.4663
_cell_length_b 7.4663
_cell_length_c 7.4663
_cell_angle_alpha 90.00
_cell_angle_beta 90.00
_cell_angle_gamma 90.00
loop_
_atom_site_label
_atom_site_fract_x
_atom_site_fract_y
_atom_site_fract_z
Dy1 0.0000 0.0000 0.0000
Y1 0.0000 0.0000 0.5000
Hg1 0.2500 0.2500 0.2500
```

(5)
The following is a theoretical powder XRD pattern of Dy3Ho. It was derived from a DFT-relaxed cell (PBE, the Materials Project), using λ = 1.5418 Å (Cu Kα).

The 8 most intense peaks (2θ = 10–90°), by angle:
- (1 1 1), 2θ = 30.99°, rel. 1000
- (2 0 0), 2θ = 35.94°, rel. 506
- (2 2 0), 2θ = 51.73°, rel. 360
- (3 1 1), 2θ = 61.54°, rel. 427
- (2 2 2), 2θ = 64.60°, rel. 123
- (4 0 0), 2θ = 76.20°, rel. 57
- (3 3 1), 2θ = 84.50°, rel. 179
- (4 2 0), 2θ = 87.23°, rel. 167

Structural model:
```
data_Dy3Ho
_space_group_name_H-M_alt 'P m -3 m'
_space_group_IT_number 221
_space_group_name_Hall '-P 4 2 3'
_cell_length_a 4.9978
_cell_length_b 4.9978
_cell_length_c 4.9978
_cell_angle_alpha 90.00
_cell_angle_beta 90.00
_cell_angle_gamma 90.00
loop_
_atom_site_label
_atom_site_fract_x
_atom_site_fract_y
_atom_site_fract_z
Dy1 0.0000 0.0000 0.5000
Ho1 0.5000 0.5000 0.5000
```

(6)
The following is a theoretical powder XRD pattern of DyHoIr2. It was derived from a DFT-relaxed cell (PBE, the Materials Project), using λ = 1.5418 Å (Cu Kα).

The 5 most intense peaks (2θ = 10–90°), by angle:
- (2 0 0), 2θ = 26.03°, rel. 7
- (2 2 0), 2θ = 37.15°, rel. 1000
- (4 0 0), 2θ = 53.54°, rel. 177
- (4 2 2), 2θ = 66.97°, rel. 362
- (4 4 0), 2θ = 79.14°, rel. 114

Structural model:
```
data_DyHoIr2
_space_group_name_H-M_alt 'F m -3 m'
_space_group_IT_number 225
_space_group_name_Hall '-F 4 2 3'
_cell_length_a 6.8458
_cell_length_b 6.8458
_cell_length_c 6.8458
_cell_angle_alpha 90.00
_cell_angle_beta 90.00
_cell_angle_gamma 90.00
loop_
_atom_site_label
_atom_site_fract_x
_atom_site_fract_y
_atom_site_fract_z
Dy1 0.0000 0.0000 0.0000
Ho1 0.0000 0.0000 0.5000
Ir1 0.2500 0.2500 0.2500
```

(7)
The following is a theoretical powder XRD pattern of DyHoMg2. It was derived from a DFT-relaxed cell (PBE, the Materials Project), using λ = 1.5418 Å (Cu Kα).

The 10 most intense peaks (2θ = 10–90°), by angle:
- (2 0 0), 2θ = 23.54°, rel. 638
- (2 2 0), 2θ = 33.53°, rel. 1000
- (2 2 2), 2θ = 41.37°, rel. 197
- (4 0 0), 2θ = 48.15°, rel. 181
- (4 2 0), 2θ = 54.27°, rel. 272
- (4 2 2), 2θ = 59.95°, rel. 375
- (4 4 0), 2θ = 70.46°, rel. 115
- (6 0 0), 2θ = 75.45°, rel. 130
- (6 2 0), 2θ = 80.33°, rel. 161
- (6 2 2), 2θ = 85.13°, rel. 78

Structural model:
```
data_DyHoMg2
_space_group_name_H-M_alt 'F m -3 m'
_space_group_IT_number 225
_space_group_name_Hall '-F 4 2 3'
_cell_length_a 7.5596
_cell_length_b 7.5596
_cell_length_c 7.5596
_cell_angle_alpha 90.00
_cell_angle_beta 90.00
_cell_angle_gamma 90.00
loop_
_atom_site_label
_atom_site_fract_x
_atom_site_fract_y
_atom_site_fract_z
Dy1 0.0000 0.0000 0.0000
Ho1 0.0000 0.0000 0.5000
Mg1 0.2500 0.2500 0.2500
```

(8)
The following is a theoretical powder XRD pattern of DyHoO3. It was derived from a DFT-relaxed cell (PBE, the Materials Project), using λ = 1.5418 Å (Cu Kα).

The 10 most intense peaks (2θ = 10–90°), by angle:
- (0 0 4), 2θ = 28.00°, rel. 472
- (1 1 1), 2θ = 28.66°, rel. 654
- (1 1 2), 2θ = 31.18°, rel. 1000
- (1 1 3), 2θ = 35.02°, rel. 207
- (1 1 5), 2θ = 45.42°, rel. 206
- (3 0 0), 2θ = 49.13°, rel. 413
- (1 1 6), 2θ = 51.58°, rel. 273
- (3 0 4), 2θ = 57.50°, rel. 383
- (2 2 2), 2θ = 59.35°, rel. 172
- (3 0 8), 2θ = 79.27°, rel. 178

Structural model:
```
data_DyHoO3
_space_group_name_H-M_alt 'P 63 c m'
_space_group_IT_number 185
_space_group_name_Hall 'P 6c -2'
_cell_length_a 6.4234
_cell_length_b 6.4234
_cell_length_c 12.7478
_cell_angle_alpha 90.00
_cell_angle_beta 90.00
_cell_angle_gamma 120.00
loop_
_atom_site_label
_atom_site_fract_x
_atom_site_fract_y
_atom_site_fract_z
Dy1 0.0000 0.0000 0.0000
Dy2 0.3333 0.6667 0.4686
Ho1 0.0000 0.3327 0.2319
O1 0.0000 0.0000 0.1962
O2 0.0000 0.3055 0.4056
O3 0.0000 0.3649 0.0597
O4 0.3333 0.6667 0.2575
```